1.
Sr4Cu3NiO8: calculated XRD peak list (CuKα), based on a cell relaxed with GGA+U.

Main lines, in order of rising 2θ (10° ≤ 2θ ≤ 90°):
| 2theta | intensity |
| --- | --- |
| 25.08 | 22 |
| 29.52 | 65 |
| 31.59 | 61 |
| 33.99 | 100 |
| 46.13 | 29 |
| 50.12 | 22 |
| 52.05 | 27 |
| 60.48 | 26 |

Atomic structure:
abc: 7.8705 8.3615 8.3615
angles: 25.15 90.00 90.00
Sites, in units of the cell vectors:
Sr 0.0000 0.0000 0.0000
Sr 0.2483 0.6641 0.6641
Sr 0.5000 0.9988 0.9988
Sr 0.7517 0.6641 0.6641
Cu 0.2487 0.3937 0.3937
Cu 0.5000 0.2674 0.2674
Cu 0.7513 0.3937 0.3937
Ni 0.0000 0.2698 0.2698
O 0.0000 0.1522 0.1522
O 0.0000 0.3870 0.3870
O 0.2445 0.2772 0.2772
O 0.2501 0.5109 0.5109
O 0.5000 0.1504 0.1504
O 0.5000 0.3853 0.3853
O 0.7499 0.5109 0.5109
O 0.7555 0.2772 0.2772


2.
Sr2YCu2NiO7: calculated XRD peak list (CuKα), based on a cell relaxed with GGA+U.

Main lines, in order of rising 2θ (10° ≤ 2θ ≤ 90°):
| 2theta | intensity |
| --- | --- |
| 32.50 | 28 |
| 32.91 | 100 |
| 33.06 | 30 |
| 39.05 | 19 |
| 47.04 | 32 |
| 47.42 | 9 |
| 58.24 | 16 |
| 58.98 | 26 |

Atomic structure:
abc: 12.1351 12.1351 12.1351
angles: 37.13 153.76 154.20
Sites, in units of the cell vectors:
Sr 0.0135 0.1527 0.1663
Sr 0.0135 0.3473 0.3608
Sr 0.9865 0.6527 0.6392
Sr 0.9865 0.8473 0.8337
Y 0.0026 0.0026 0.0000
Y 0.0026 0.5026 0.5000
Cu 0.5034 0.0776 0.5746
Cu 0.5034 0.4287 0.9257
Cu 0.5030 0.5776 0.0743
Cu 0.5030 0.9287 0.4254
Ni 0.3873 0.7097 0.1777
Ni 0.5320 0.2097 0.8223
O 0.0033 0.3207 0.8122
O 0.0033 0.6912 0.1826
O 0.0037 0.1881 0.6920
O 0.0037 0.8117 0.3155
O 0.2184 0.8563 0.8621
O 0.4845 0.1993 0.6356
O 0.4845 0.3489 0.7852
O 0.4962 0.3117 0.3080
O 0.4962 0.6881 0.6845
O 0.5086 0.1912 0.1878
O 0.5086 0.8207 0.8174
O 0.5637 0.6993 0.2148
O 0.5637 0.8489 0.3644
O 0.9942 0.3563 0.1379